Simulated powder X-ray diffraction pattern of NdCdNi4 for copper Kα, from a PBE-relaxed structure.
Intensities are scaled so that the largest is 100.

Crystal structure
```
6
Lattice="0.0000 3.5638 3.5638 3.5638 0.0000 3.5638 3.5638 3.5638 0.0000" Properties=species:S:1:pos:R:3 pbc="T T T"
Nd 0.0000 0.0000 0.0000
Cd 5.3457 5.3457 5.3457
Ni 2.6833 2.6833 2.6833
Ni 4.4443 4.4443 2.6833
Ni 4.4443 2.6833 4.4443
Ni 2.6833 4.4443 4.4443
```

Largest 10 diffraction maxima, by angle, 2θ from 10° to 90°:
2theta, intensity
21.59, 6
35.63, 54
42.04, 100
44.01, 20
56.26, 2
63.99, 19
68.39, 30
75.45, 22
79.57, 1
86.32, 8

Simulated powder X-ray diffraction pattern of Nd2CdNi2 for copper Kα, from a PBE-relaxed structure.
Intensities are scaled so that the largest is 100.

Crystal structure
```
10
Lattice="7.5143 0.0000 0.0000 0.0000 7.5143 0.0000 0.0000 0.0000 3.8389" Properties=species:S:1:pos:R:3 pbc="T T T"
Nd 1.3322 2.4249 0.0000
Nd 2.4249 6.1820 0.0000
Nd 5.0894 1.3322 0.0000
Nd 6.1820 5.0894 0.0000
Cd 0.0000 0.0000 1.9195
Cd 3.7571 3.7571 1.9195
Ni 0.8757 4.6328 1.9195
Ni 2.8815 0.8757 1.9195
Ni 4.6328 6.6386 1.9195
Ni 6.6386 2.8815 1.9195
```

Largest 10 diffraction maxima, by angle, 2θ from 10° to 90°:
2theta, intensity
26.52, 17
33.37, 65
33.74, 17
35.50, 100
37.86, 43
47.36, 18
50.05, 16
55.84, 17
57.29, 18
62.17, 19

Simulated powder X-ray diffraction pattern of NdCdPd for copper Kα, from a PBE-relaxed structure.
Intensities are scaled so that the largest is 100.

Crystal structure
```
9
Lattice="7.7552 0.0000 0.0000 -3.8776 6.7162 0.0000 0.0000 0.0000 4.0369" Properties=species:S:1:pos:R:3 pbc="T T T"
Nd -2.2981 3.9804 0.0000
Nd 1.5795 2.7359 0.0000
Nd 4.5961 0.0000 0.0000
Cd -0.9764 1.6912 2.0185
Cd 1.9528 0.0000 2.0185
Cd 2.9012 5.0250 2.0185
Pd 0.0000 0.0000 0.0000
Pd 0.0000 4.4775 2.0185
Pd 3.8776 2.2387 2.0185
```

Largest 10 diffraction maxima, by angle, 2θ from 10° to 90°:
2theta, intensity
32.00, 100
34.75, 92
35.36, 50
40.28, 36
42.05, 26
44.91, 26
54.23, 17
58.41, 23
61.89, 20
64.76, 31

Simulated powder X-ray diffraction pattern of Nd2CdS4 for copper Kα, from a PBE-relaxed structure.
Intensities are scaled so that the largest is 100.

Crystal structure
```
14
Lattice="-4.2370 4.2370 4.4340 4.2370 -4.2370 4.4340 4.2370 4.2370 -4.4340" Properties=species:S:1:pos:R:3 pbc="T T T"
Nd 2.1185 1.1737 -1.1085
Nd 3.0633 -2.1185 5.5425
Nd 2.1185 3.0633 3.3255
Nd 1.1737 6.3555 1.1085
Cd 4.2370 0.0000 2.2170
Cd 0.0000 0.0000 4.4340
S 3.6453 -2.5892 2.7719
S 6.8262 -0.5917 1.6621
S 4.8287 1.6478 -0.5549
S 1.6478 0.5917 1.6621
S 1.6478 3.6453 0.5549
S 4.8287 2.5892 2.7719
S 2.5892 0.5917 4.9889
S -0.5917 2.5892 3.8791
```

Largest 10 diffraction maxima, by angle, 2θ from 10° to 90°:
2theta, intensity
24.98, 68
25.56, 100
32.07, 51
33.29, 57
33.44, 53
38.63, 37
39.28, 27
39.67, 29
46.21, 26
49.55, 34

Simulated powder X-ray diffraction pattern of Nd2CdSb4 for copper Kα, from a PBE-relaxed structure.
Intensities are scaled so that the largest is 100.

Crystal structure
```
7
Lattice="4.3820 0.0000 0.0000 0.0000 4.3820 0.0000 0.0000 0.0000 10.8225" Properties=species:S:1:pos:R:3 pbc="T T T"
Nd 0.0000 2.1910 2.5377
Nd 2.1910 0.0000 8.2849
Cd 2.1910 2.1910 5.4113
Sb 0.0000 0.0000 0.0000
Sb 0.0000 2.1910 7.2891
Sb 2.1910 0.0000 3.5335
Sb 2.1910 2.1910 0.0000
```

Largest 10 diffraction maxima, by angle, 2θ from 10° to 90°:
2theta, intensity
26.17, 24
32.14, 13
33.11, 12
33.32, 100
39.13, 13
41.20, 36
46.81, 13
53.84, 12
59.68, 12
70.10, 22

Simulated powder X-ray diffraction pattern of NdTlCd for copper Kα, from a PBE-relaxed structure.
Intensities are scaled so that the largest is 100.

Crystal structure
```
6
Lattice="5.0370 0.0000 0.0000 -2.5185 4.3621 0.0000 0.0000 0.0000 7.5478" Properties=species:S:1:pos:R:3 pbc="T T T"
Nd 0.0000 0.0000 0.0000
Nd 0.0000 0.0000 3.7739
Tl 0.0000 2.9081 1.8870
Tl 2.5185 1.4540 5.6609
Cd 0.0000 2.9081 5.6609
Cd 2.5185 1.4540 1.8870
```

Largest 10 diffraction maxima, by angle, 2θ from 10° to 90°:
2theta, intensity
23.56, 22
31.34, 100
35.65, 82
43.18, 16
48.20, 42
61.38, 63
64.04, 15
75.50, 10
79.26, 7
84.02, 26

Simulated powder X-ray diffraction pattern of Nd2TlCd for copper Kα, from a PBE-relaxed structure.
Intensities are scaled so that the largest is 100.

Crystal structure
```
4
Lattice="0.0000 3.8920 3.8920 3.8920 0.0000 3.8920 3.8920 3.8920 0.0000" Properties=species:S:1:pos:R:3 pbc="T T T"
Nd 1.9460 1.9460 1.9460
Nd 5.8381 5.8381 5.8381
Tl 0.0000 0.0000 0.0000
Cd 3.8920 3.8920 3.8920
```

Largest 10 diffraction maxima, by angle, 2θ from 10° to 90°:
2theta, intensity
19.75, 4
32.53, 100
38.35, 3
46.68, 18
51.15, 1
58.05, 38
68.15, 12
71.74, 1
77.57, 16
86.65, 4

Simulated powder X-ray diffraction pattern of NdZn2Cd for copper Kα, from a PBE-relaxed structure.
Intensities are scaled so that the largest is 100.

Crystal structure
```
4
Lattice="0.0000 3.4806 3.4806 3.4806 0.0000 3.4806 3.4806 3.4806 0.0000" Properties=species:S:1:pos:R:3 pbc="T T T"
Nd 0.0000 0.0000 0.0000
Zn 1.7403 1.7403 1.7403
Zn 5.2208 5.2208 5.2208
Cd 3.4806 3.4806 3.4806
```

Largest 10 diffraction maxima, by angle, 2θ from 10° to 90°:
2theta, intensity
22.12, 1
25.59, 11
36.51, 100
45.12, 3
52.59, 17
59.38, 4
65.71, 34
77.58, 10
83.28, 2
88.92, 15

Simulated powder X-ray diffraction pattern of Cd3Ni for copper Kα, from a PBE-relaxed structure.
Intensities are scaled so that the largest is 100.

Crystal structure
```
4
Lattice="4.1801 0.0000 0.0000 0.0000 4.1801 0.0000 0.0000 0.0000 4.1801" Properties=species:S:1:pos:R:3 pbc="T T T"
Cd 0.0000 0.0000 2.0901
Cd 0.0000 2.0901 0.0000
Cd 2.0901 0.0000 0.0000
Ni 2.0901 2.0901 2.0901
```

Largest 10 diffraction maxima, by angle, 2θ from 10° to 90°:
2theta, intensity
21.26, 5
30.24, 4
37.26, 100
43.29, 48
48.71, 2
53.71, 2
62.88, 30
67.18, 1
75.42, 35
79.42, 10